[1]
MnB2H8: calculated powder diffractogram (Cu Ka), based on a cell relaxed with PBE.
Peak positions follow from Bragg's law for the DFT cell and can differ from measured ones.

Structural model:
```
MnB2H8
1.0
0.0000 5.0271 6.6825
4.9223 0.0000 6.6825
4.9223 5.0271 0.0000
Mn B H
4 8 32
Direct
0.0949 0.0949 0.6551 Mn
0.3449 0.3449 0.9051 Mn
0.6551 0.6551 0.0949 Mn
0.9051 0.9051 0.3449 Mn
0.1539 0.2958 0.2905 B
0.2402 0.7095 0.7042 B
0.2905 0.7598 0.1539 B
0.2958 0.1539 0.7598 B
0.7042 0.8461 0.2402 B
0.7095 0.2402 0.8461 B
0.7598 0.2905 0.2958 B
0.8461 0.7042 0.7095 B
0.0028 0.3863 0.4359 H
0.0728 0.3613 0.1403 H
0.0745 0.8597 0.6387 H
0.0983 0.2500 0.8132 H
0.1403 0.9255 0.0728 H
0.1868 0.6614 0.9017 H
0.2456 0.6308 0.2777 H
0.2500 0.0983 0.3386 H
0.2777 0.3460 0.2456 H
0.3249 0.5641 0.6137 H
0.3386 0.8132 0.2500 H
0.3460 0.2777 0.6308 H
0.3613 0.0728 0.9255 H
0.3692 0.7544 0.6540 H
0.3863 0.0028 0.6751 H
0.4359 0.6751 0.0028 H
0.5641 0.3249 0.9972 H
0.6137 0.9972 0.3249 H
0.6308 0.2456 0.3460 H
0.6387 0.9272 0.0745 H
0.6540 0.7223 0.3692 H
0.6614 0.1868 0.7500 H
0.6751 0.4359 0.3863 H
0.7223 0.6540 0.7544 H
0.7500 0.9017 0.6614 H
0.7544 0.3692 0.7223 H
0.8132 0.3386 0.0983 H
0.8597 0.0745 0.9272 H
0.9017 0.7500 0.1868 H
0.9255 0.1403 0.3613 H
0.9272 0.6387 0.8597 H
0.9972 0.6137 0.5641 H
```

Main lines, in order of rising 2θ (2θ = 10–80°):
2θ (°), intensity
22.13, 83
22.43, 100
23.64, 14
25.32, 64
34.71, 21
37.11, 32
42.59, 29
43.10, 31
44.64, 18
58.16, 15



[2]
Li3Cu2F7: calculated powder diffractogram (Cu Ka), based on a cell relaxed with PBE.
Peak positions follow from Bragg's law for the DFT cell and can differ from measured ones.

Structural model:
```
Li3Cu2F7
1.0
7.0886 0.0000 0.0000
0.0000 8.6391 0.0000
-1.9503 0.0000 8.7214
Li Cu F
12 8 28
Direct
0.0640 0.1909 0.4537 Li
0.0640 0.3091 0.9537 Li
0.2276 0.6669 0.3600 Li
0.2276 0.8331 0.8600 Li
0.2890 0.1541 0.8046 Li
0.2890 0.3459 0.3046 Li
0.7110 0.6541 0.6954 Li
0.7110 0.8459 0.1954 Li
0.7724 0.1669 0.1400 Li
0.7724 0.3331 0.6400 Li
0.9360 0.6909 0.0463 Li
0.9360 0.8091 0.5463 Li
0.1865 0.5049 0.6586 Cu
0.1865 0.9951 0.1586 Cu
0.3705 0.5726 0.0789 Cu
0.3705 0.9274 0.5789 Cu
0.6295 0.0726 0.4211 Cu
0.6295 0.4274 0.9211 Cu
0.8135 0.0049 0.8414 Cu
0.8135 0.4951 0.3414 Cu
0.0710 0.1734 0.2349 F
0.0710 0.3266 0.7349 F
0.1544 0.0787 0.9540 F
0.1544 0.4213 0.4540 F
0.1597 0.0477 0.6118 F
0.1597 0.4523 0.1118 F
0.2003 0.7083 0.5705 F
0.2003 0.7917 0.0705 F
0.2592 0.6073 0.8542 F
0.2592 0.8927 0.3542 F
0.4145 0.1890 0.4446 F
0.4145 0.3110 0.9446 F
0.4525 0.5551 0.2997 F
0.4525 0.9449 0.7997 F
0.5475 0.0551 0.2003 F
0.5475 0.4449 0.7003 F
0.5855 0.6890 0.0554 F
0.5855 0.8110 0.5554 F
0.7408 0.1073 0.6458 F
0.7408 0.3927 0.1458 F
0.7997 0.2083 0.9295 F
0.7997 0.2917 0.4295 F
0.8403 0.5477 0.8882 F
0.8403 0.9523 0.3882 F
0.8456 0.5787 0.5460 F
0.8456 0.9213 0.0460 F
0.9290 0.6734 0.2651 F
0.9290 0.8266 0.7651 F
```

Main lines, in order of rising 2θ (2θ = 10–80°):
2θ (°), intensity
17.79, 100
20.56, 60
26.43, 39
29.99, 30
31.58, 29
33.02, 24
33.72, 22
39.58, 38
40.77, 24
44.50, 27



- What is the formula in the first record?
  MnB2H8